Diffraction record for Ta7W6. The X-ray powder pattern is computed, not measured: it uses the PBE geometry in OQMD and λ = 1.5418 Å (Cu Kα).

Main lines, low angle first (10° ≤ 2θ ≤ 80°):
2theta, intensity
33.9, 47
37.0, 44
38.9, 100
39.4, 49
39.8, 85
42.5, 60
64.0, 24
64.6, 34
69.2, 23
71.2, 39

Crystal structure
```
data_Ta7W6
_space_group_name_H-M_alt 'R -3 m'
_space_group_IT_number 166
_space_group_name_Hall '-R 3 2"'
_cell_length_a 5.2948
_cell_length_b 5.2948
_cell_length_c 28.6308
_cell_angle_alpha 90.00
_cell_angle_beta 90.00
_cell_angle_gamma 120.00
loop_
_atom_site_label
_atom_site_type_symbol
_atom_site_fract_x
_atom_site_fract_y
_atom_site_fract_z
Ta1 Ta 0.0000 0.0000 0.0000
Ta2 Ta 0.0000 0.0000 0.1679
Ta3 Ta 0.0000 0.0000 0.3514
Ta4 Ta 0.0000 0.0000 0.4538
W1 W 0.0033 0.5017 0.4107
```



Diffraction record for Ta8W5. The X-ray powder pattern is computed, not measured: it uses the PBE geometry in OQMD and λ = 1.5418 Å (Cu Kα).

Main lines, low angle first (10° ≤ 2θ ≤ 80°):
2theta, intensity
33.1, 35
37.8, 29
38.6, 100
40.6, 17
40.8, 44
41.9, 43
62.8, 16
64.3, 23
69.4, 27
70.5, 20

Crystal structure
```
data_Ta8W5
_space_group_name_H-M_alt 'R -3 m'
_space_group_IT_number 166
_space_group_name_Hall '-R 3 2"'
_cell_length_a 5.4135
_cell_length_b 5.4135
_cell_length_c 27.6261
_cell_angle_alpha 90.00
_cell_angle_beta 90.00
_cell_angle_gamma 120.00
loop_
_atom_site_label
_atom_site_type_symbol
_atom_site_fract_x
_atom_site_fract_y
_atom_site_fract_z
Ta1 Ta 0.0000 0.0000 0.0472
Ta2 Ta 0.0034 0.5017 0.9102
W1 W 0.0000 0.0000 0.1474
W2 W 0.0000 0.0000 0.3324
W3 W 0.0000 0.0000 0.5000
```